This entry pairs a crystal structure of Dy3Ho2Lu2Ni2Te2 with its computed powder diffraction line list. Radiation: λ = 1.5418 Å (Cu Kα). Structure: a structure optimized by DFT (GGA-PBE).

Largest 12 diffraction maxima, by intensity, 2θ = 10–80°:
- 34.23°, d = 2.619 Å, rel. 1000
- 33.12°, d = 2.705 Å, rel. 846
- 30.43°, d = 2.937 Å, rel. 763
- 34.69°, d = 2.586 Å, rel. 554
- 59.02°, d = 1.565 Å, rel. 326
- 47.38°, d = 1.919 Å, rel. 312
- 34.79°, d = 2.578 Å, rel. 261
- 36.72°, d = 2.448 Å, rel. 247
- 29.00°, d = 3.079 Å, rel. 245
- 38.58°, d = 2.333 Å, rel. 200
- 51.42°, d = 1.777 Å, rel. 175
- 25.01°, d = 3.560 Å, rel. 174

Lattice parameters (Å, degrees): 9.2860 9.2860 9.2860 156.15 67.19 118.24
Element x y z (fractional)
1 Dy 0.0000 0.0000 0.0000
2 Dy 0.4473 0.5812 0.8661
3 Dy 0.7151 0.5812 0.1339
4 Ho 0.0818 0.7293 0.3525
5 Ho 0.3769 0.7293 0.6475
6 Lu 0.0629 0.3783 0.6846
7 Lu 0.6937 0.3783 0.3154
8 Ni 0.3033 0.0677 0.2355
9 Ni 0.8322 0.0677 0.7645
10 Te 0.3358 0.3358 0.0000
11 Te 0.7357 0.2357 0.5000